# 1
The following is a simulated powder diffraction line list of Gd3Ni19B10. It was derived from DFT lattice parameters and positions (GGA-PBE), using Cu Kα X-rays.
Kinematic intensities with the Lorentz-polarization factor, no thermal factor.

Most intense lines, 10° ≤ 2θ ≤ 90°, sorted by position:
- 34.1°, I 31, (2 0 2)
- 35.5°, I 48, (5 1 0)
- 37.2°, I 40, (4 2 -1)
- 37.8°, I 39, (4 2 1)
- 38.2°, I 59, (3 1 -2)
- 40.0°, I 92, (2 2 2)
- 41.2°, I 100, (0 4 0)
- 44.4°, I 23, (6 0 1)
- 46.1°, I 35, (4 2 -2)
- 46.4°, I 35, (5 3 0)
- 47.1°, I 42, (0 0 3)
- 48.6°, I 45, (3 3 -2)

Structure:
a = 13.195 Å, b = 8.764 Å, c = 5.794 Å
α = 90.00°, β = 91.43°, γ = 90.00°
Space group C2/m (No. 12)
One atom of each set of equivalent atoms:
1 Gd 0.000 0.000 0.000 [2 per cell]
2 Gd 0.126 0.500 0.389 [4 per cell]
3 Ni 0.000 0.000 0.500 [2 per cell]
4 Ni 0.029 0.258 0.699 [8 per cell]
5 Ni 0.122 0.500 0.877 [4 per cell]
6 Ni 0.128 0.250 0.074 [8 per cell]
7 Ni 0.163 0.000 0.702 [4 per cell]
8 Ni 0.183 0.000 0.272 [4 per cell]
9 Ni 0.218 0.263 0.699 [8 per cell]
10 B 0.000 0.383 0.000 [4 per cell]
11 B 0.118 0.182 0.432 [8 per cell]
12 B 0.245 0.103 0.975 [8 per cell]

=====

# 2
The following is a simulated powder diffraction line list of CsSiAgSeS2. It was derived from DFT lattice parameters and positions (GGA-PBE), using Cu Kα X-rays.
Kinematic intensities with the Lorentz-polarization factor, no thermal factor.

Most intense lines, 10° ≤ 2θ ≤ 90°, sorted by position:
- 10.5°, I 12, (0 2 0)
- 17.1°, I 62, (0 0 2)
- 22.9°, I 14, (0 4 1)
- 27.3°, I 12, (0 4 2)
- 30.0°, I 18, (1 3 0)
- 31.3°, I 100, (1 3 1)
- 32.0°, I 13, (0 6 0)
- 33.2°, I 20, (0 6 1)
- 34.6°, I 37, (0 0 4)
- 40.0°, I 41, (1 3 3)
- 53.8°, I 24, (1 3 5)
- 64.0°, I 12, (2 0 4)

Structure:
a = 3.516 Å, b = 16.771 Å, c = 10.383 Å
α = 90.00°, β = 90.00°, γ = 90.00°
Space group Cmcm (No. 63)
One atom of each set of equivalent atoms:
1 Cs 0.000 0.225 0.250 [4 per cell]
2 Si 0.000 0.500 0.000 [4 per cell]
3 Ag 0.000 0.086 0.750 [4 per cell]
4 Se 0.000 0.458 0.750 [4 per cell]
5 S 0.000 0.097 0.519 [8 per cell]

=====

# 3
The following is a simulated powder diffraction line list of Li2H6IrPd. It was derived from DFT lattice parameters and positions (GGA-PBE), using Cu Kα X-rays.
Kinematic intensities with the Lorentz-polarization factor, no thermal factor.

Most intense lines, 10° ≤ 2θ ≤ 90°, sorted by position:
- 22.4°, I 19, (0 1 1)
- 25.8°, I 46, (0 0 2)
- 26.0°, I 91, (1 1 -1)
- 37.0°, I 100, (1 1 1)
- 37.1°, I 20, (0 2 0)
- 45.7°, I 38, (2 0 0)
- 53.4°, I 15, (2 2 -2)
- 60.0°, I 18, (1 1 3)
- 60.3°, I 26, (2 2 0)
- 66.5°, I 15, (2 0 2)
- 66.7°, I 14, (3 1 -1)
- 66.8°, I 14, (1 3 1)

Structure:
a = 4.856 Å, b = 4.847 Å, c = 8.434 Å
α = 90.00°, β = 125.11°, γ = 90.00°
Space group P2_1/c (No. 14)
One atom of each set of equivalent atoms:
1 Li 0.249 0.012 0.250 [4 per cell]
2 H 0.207 0.006 0.756 [4 per cell]
3 H 0.247 0.712 0.525 [4 per cell]
4 H 0.314 0.223 0.526 [4 per cell]
5 Ir 0.500 0.000 0.000 [2 per cell]
6 Pd 0.000 0.000 0.500 [2 per cell]

=====

# 4
The following is a simulated powder diffraction line list of BaNaAgPbS4. It was derived from DFT lattice parameters and positions (GGA-PBE), using Cu Kα X-rays.
Kinematic intensities with the Lorentz-polarization factor, no thermal factor.

Most intense lines, 10° ≤ 2θ ≤ 90°, sorted by position:
- 16.3°, I 26, (1 1 0)
- 17.4°, I 28, (0 0 1)
- 24.6°, I 37, (2 0 0)
- 27.8°, I 100, (0 2 1)
- 32.9°, I 20, (2 2 0)
- 35.1°, I 38, (0 0 2)
- 45.3°, I 56, (2 2 1)
- 50.9°, I 21, (2 4 0)
- 57.3°, I 11, (0 4 2)
- 70.2°, I 13, (6 2 -1)
- 74.5°, I 13, (2 4 2)
- 81.0°, I 12, (2 2 3)

Structure:
a = 10.217 Å, b = 8.269 Å, c = 7.225 Å
α = 90.00°, β = 134.98°, γ = 90.00°
Space group C2 (No. 5)
One atom of each set of equivalent atoms:
1 Ba 0.000 0.000 0.000 [2 per cell]
2 Na 0.000 0.749 0.500 [2 per cell]
3 Ag 0.000 0.251 0.500 [2 per cell]
4 Pb 0.000 0.500 0.000 [2 per cell]
5 S 0.194 0.325 0.408 [4 per cell]
6 S 0.213 0.675 0.019 [4 per cell]

=====

# 5
The following is a simulated powder diffraction line list of InOsAuO3. It was derived from DFT lattice parameters and positions (GGA-PBE), using Cu Kα X-rays.
Kinematic intensities with the Lorentz-polarization factor, no thermal factor.

Most intense lines, 10° ≤ 2θ ≤ 90°, sorted by position:
- 17.0°, I 67, (2 0 0)
- 19.4°, I 14, (2 0 1)
- 34.2°, I 100, (1 1 2)
- 34.5°, I 28, (4 0 0)
- 37.4°, I 17, (0 0 4)
- 39.0°, I 38, (3 1 1)
- 41.4°, I 27, (2 0 4)
- 42.4°, I 58, (3 1 2)
- 43.2°, I 18, (2 1 3)
- 56.2°, I 15, (0 2 0)
- 60.1°, I 13, (5 1 3)
- 70.2°, I 14, (7 1 1)

Structure:
a = 10.406 Å, b = 3.271 Å, c = 9.621 Å
α = 90.00°, β = 90.00°, γ = 90.00°
Space group Pnma (No. 62)
One atom of each set of equivalent atoms:
1 In 0.238 0.250 0.057 [4 per cell]
2 Os 0.025 0.250 0.354 [4 per cell]
3 Au 0.031 0.750 0.109 [4 per cell]
4 O 0.080 0.250 0.548 [4 per cell]
5 O 0.133 0.750 0.740 [4 per cell]
6 O 0.153 0.750 0.354 [4 per cell]

=====

# 6
The following is a simulated powder diffraction line list of HoErPd2Pb. It was derived from DFT lattice parameters and positions (GGA-PBE), using Cu Kα X-rays.
Kinematic intensities with the Lorentz-polarization factor, no thermal factor.

Most intense lines, 10° ≤ 2θ ≤ 90°, sorted by position:
- 27.6°, I 29, (0 1 3)
- 33.3°, I 100, (1 1 1)
- 34.8°, I 54, (1 0 4)
- 36.2°, I 17, (0 0 6)
- 36.8°, I 47, (0 1 5)
- 37.5°, I 20, (1 1 3)
- 42.5°, I 29, (0 2 0)
- 51.1°, I 17, (2 0 0)
- 54.7°, I 16, (1 1 7)
- 56.0°, I 28, (1 2 4)
- 64.6°, I 18, (2 1 5)
- 68.5°, I 14, (2 2 0)

Structure:
a = 3.576 Å, b = 4.258 Å, c = 14.883 Å
α = 90.00°, β = 90.00°, γ = 90.00°
Space group Amm2 (No. 38)
One atom of each set of equivalent atoms:
1 Ho 0.000 0.000 0.000 [2 per cell]
2 Er 0.000 0.000 0.272 [2 per cell]
3 Pd 0.500 0.000 0.443 [2 per cell]
4 Pd 0.500 0.000 0.828 [2 per cell]
5 Pb 0.500 0.000 0.636 [2 per cell]

=====

# 7
The following is a simulated powder diffraction line list of BaCdInPtPb. It was derived from DFT lattice parameters and positions (GGA-PBE), using Cu Kα X-rays.
Kinematic intensities with the Lorentz-polarization factor, no thermal factor.

Most intense lines, 10° ≤ 2θ ≤ 90°, sorted by position:
- 15.3°, I 27, (0 0 2)
- 29.3°, I 73, (1 0 3)
- 29.6°, I 83, (1 1 2)
- 35.9°, I 100, (2 0 0)
- 40.3°, I 53, (1 1 4)
- 47.0°, I 43, (2 1 3)
- 51.7°, I 39, (2 2 0)
- 54.3°, I 27, (1 1 6)
- 60.7°, I 22, (3 1 2)
- 67.5°, I 24, (3 1 4)
- 76.1°, I 25, (4 0 0)
- 87.2°, I 25, (4 2 0)

Structure:
a = 5.001 Å, b = 5.001 Å, c = 11.549 Å
α = 90.00°, β = 90.00°, γ = 90.00°
Space group P4/nmm (No. 129, origin choice 2)
One atom of each set of equivalent atoms:
1 Ba 0.250 0.250 0.230 [2 per cell]
2 Cd 0.250 0.250 0.636 [2 per cell]
3 In 0.250 0.750 0.500 [2 per cell]
4 Pt 0.250 0.750 0.000 [2 per cell]
5 Pb 0.250 0.250 0.895 [2 per cell]

=====

# 8
The following is a simulated powder diffraction line list of CuSeF. It was derived from DFT lattice parameters and positions (GGA-PBE), using Cu Kα X-rays.
Kinematic intensities with the Lorentz-polarization factor, no thermal factor.

Most intense lines, 10° ≤ 2θ ≤ 90°, sorted by position:
- 16.0°, I 21, (0 1 0)
- 25.0°, I 72, (0 1 1)
- 32.3°, I 39, (1 0 1)
- 36.2°, I 100, (1 1 1)
- 41.7°, I 19, (1 2 0)
- 42.3°, I 36, (0 1 2)
- 46.3°, I 51, (1 2 1)
- 50.1°, I 24, (1 1 2)
- 51.4°, I 26, (0 2 2)
- 52.8°, I 23, (2 0 0)
- 60.1°, I 18, (1 3 1)
- 66.2°, I 21, (1 0 3)

Structure:
a = 3.466 Å, b = 5.548 Å, c = 4.636 Å
α = 90.00°, β = 90.00°, γ = 90.00°
Space group Pmn2_1 (No. 31)
One atom of each set of equivalent atoms:
1 Cu 0.000 0.190 0.000 [2 per cell]
2 Se 0.000 0.533 0.300 [2 per cell]
3 F 0.000 0.981 0.654 [2 per cell]

=====

# 9
The following is a simulated powder diffraction line list of Cs2LuScS4. It was derived from DFT lattice parameters and positions (GGA-PBE), using Cu Kα X-rays.
Kinematic intensities with the Lorentz-polarization factor, no thermal factor.

Most intense lines, 10° ≤ 2θ ≤ 90°, sorted by position:
- 22.3°, I 45, (0 0 4)
- 26.6°, I 49, (0 1 1)
- 28.4°, I 97, (1 0 2)
- 31.1°, I 100, (1 0 3)
- 38.6°, I 23, (0 1 5)
- 43.1°, I 51, (1 0 6)
- 45.9°, I 46, (1 1 0)
- 51.6°, I 29, (1 1 4)
- 54.8°, I 15, (0 2 2)
- 56.4°, I 17, (0 2 3)
- 58.7°, I 17, (0 1 9)
- 66.6°, I 16, (1 1 8)

Structure:
a = 3.9560 Å, b = 3.9560 Å, c = 15.9344 Å
α = 90.00°, β = 90.00°, γ = 120.00°
Space group P-3m1 (No. 164)
One atom of each set of equivalent atoms:
1 Cs 0.3333 0.6667 0.2530 [2 per cell]
2 Lu 0.0000 0.0000 0.0000 [1 per cell]
3 Sc 0.0000 0.0000 0.5000 [1 per cell]
4 S 0.3333 0.6667 0.5852 [2 per cell]
5 S 0.3333 0.6667 0.9087 [2 per cell]

=====

# 10
The following is a simulated powder diffraction line list of ScZnAu4. It was derived from DFT lattice parameters and positions (GGA-PBE), using Cu Kα X-rays.
Kinematic intensities with the Lorentz-polarization factor, no thermal factor.

Most intense lines, 10° ≤ 2θ ≤ 90°, sorted by position:
- 19.8°, I 73, (1 0 1)
- 32.7°, I 5, (1 1 0)
- 38.5°, I 100, (1 1 3)
- 40.3°, I 81, (0 0 6)
- 46.9°, I 29, (0 2 4)
- 51.4°, I 20, (2 0 5)
- 62.2°, I 33, (0 2 7)
- 68.5°, I 33, (2 2 0)
- 72.1°, I 15, (1 1 9)
- 81.4°, I 12, (0 1 11)
- 82.5°, I 32, (2 2 6)
- 87.1°, I 7, (4 0 4)

Structure:
a = 5.4826 Å, b = 5.4826 Å, c = 13.4281 Å
α = 90.00°, β = 90.00°, γ = 120.00°
Space group R3m (No. 160, hexagonal axes)
One atom of each set of equivalent atoms:
1 Sc 0.0000 0.0000 0.0000 [3 per cell]
2 Zn 0.0000 0.0000 0.7495 [3 per cell]
3 Au 0.0000 0.0000 0.3756 [3 per cell]
4 Au 0.9998 0.4999 0.8754 [9 per cell]

=====

# 11
The following is a simulated powder diffraction line list of Er4SiPb2. It was derived from DFT lattice parameters and positions (GGA-PBE), using Cu Kα X-rays.
Kinematic intensities with the Lorentz-polarization factor, no thermal factor.

Most intense lines, 10° ≤ 2θ ≤ 90°, sorted by position:
- 15.1°, I 22, (0 0 2)
- 20.6°, I 28, (2 0 0)
- 21.9°, I 63, (2 0 -1)
- 25.6°, I 67, (1 1 2)
- 30.9°, I 25, (2 0 -3)
- 36.0°, I 100, (3 1 0)
- 37.1°, I 70, (1 1 4)
- 43.0°, I 17, (3 1 3)
- 47.9°, I 25, (3 1 4)
- 52.7°, I 26, (2 2 -4)
- 64.7°, I 18, (6 0 0)
- 65.5°, I 27, (5 1 -4)

Structure:
a = 8.636 Å, b = 4.991 Å, c = 11.697 Å
α = 90.00°, β = 90.05°, γ = 90.00°
Space group Cm (No. 8)
One atom of each set of equivalent atoms:
1 Er 0.000 0.000 0.000 [2 per cell]
2 Er 0.000 0.000 0.472 [2 per cell]
3 Er 0.167 0.500 0.252 [2 per cell]
4 Er 0.167 0.500 0.777 [2 per cell]
5 Si 0.000 0.000 0.232 [2 per cell]
6 Pb 0.167 0.500 0.527 [2 per cell]
7 Pb 0.333 0.000 0.892 [2 per cell]

=====

# 12
The following is a simulated powder diffraction line list of Bi20Pt3Br36. It was derived from DFT lattice parameters and positions (GGA-PBE), using Cu Kα X-rays.
Kinematic intensities with the Lorentz-polarization factor, no thermal factor.

Most intense lines, 10° ≤ 2θ ≤ 90°, sorted by position:
- 10.9°, I 45, (2 0 -1)
- 11.7°, I 49, (1 1 -2)
- 21.9°, I 14, (4 0 -2)
- 28.6°, I 11, (0 4 3)
- 30.1°, I 100, (1 3 4)
- 33.1°, I 9, (6 0 -3)
- 35.7°, I 16, (0 6 0)
- 38.5°, I 13, (1 5 4)
- 42.9°, I 36, (6 4 0)
- 48.2°, I 24, (4 4 -8)
- 52.0°, I 18, (5 7 -4)
- 61.1°, I 11, (3 7 6)

Structure:
a = 16.359 Å, b = 15.096 Å, c = 17.784 Å
α = 90.00°, β = 111.02°, γ = 90.00°
Space group C2/m (No. 12)
One atom of each set of equivalent atoms:
1 Bi 0.050 0.000 0.407 [4 per cell]
2 Bi 0.086 0.369 0.108 [8 per cell]
3 Bi 0.097 0.132 0.231 [8 per cell]
4 Bi 0.127 0.500 0.932 [4 per cell]
5 Bi 0.159 0.000 0.831 [4 per cell]
6 Bi 0.187 0.500 0.720 [4 per cell]
7 Bi 0.232 0.372 0.551 [8 per cell]
8 Pt 0.000 0.500 0.000 [2 per cell]
9 Pt 0.178 0.000 0.339 [4 per cell]
10 Br 0.000 0.227 0.000 [4 per cell]
11 Br 0.028 0.000 0.901 [4 per cell]
12 Br 0.043 0.363 0.818 [8 per cell]
13 Br 0.074 0.136 0.722 [8 per cell]
14 Br 0.092 0.363 0.613 [8 per cell]
15 Br 0.124 0.137 0.516 [8 per cell]
16 Br 0.139 0.500 0.432 [4 per cell]
17 Br 0.171 0.274 0.335 [8 per cell]
18 Br 0.198 0.500 0.234 [4 per cell]
19 Br 0.219 0.138 0.154 [8 per cell]
20 Br 0.242 0.363 0.051 [8 per cell]